(1)
Be3Al2Si6O18: simulated powder XRD pattern (λ = 1.5418 Å (Cu Kα)), based on a crystal structure in the Materials Project, relaxed with PBE.

Main lines, by angle (10 to 80 degrees two-theta):
8.057 Å, 2θ 11.0, rel. 100, hkl 1 0 0
4.641 Å, 2θ 19.1, rel. 29, hkl 0 0 2
4.022 Å, 2θ 22.1, rel. 25, hkl 1 0 2
3.285 Å, 2θ 27.1, rel. 58, hkl 1 1 2
3.042 Å, 2θ 29.4, rel. 15, hkl 2 0 2
2.893 Å, 2θ 30.9, rel. 60, hkl 2 1 1
2.546 Å, 2θ 35.3, rel. 15, hkl 2 1 2
2.012 Å, 2θ 45.1, rel. 12, hkl 2 0 4
1.757 Å, 2θ 52.1, rel. 13, hkl 3 0 4
1.643 Å, 2θ 56.0, rel. 10, hkl 2 2 4
1.528 Å, 2θ 60.6, rel. 11, hkl 4 1 3
1.290 Å, 2θ 73.4, rel. 9, hkl 6 0 2

Cell and atoms:
```
data_Be3Al2Si6O18
_chemical_formula_sum 'Be6 Al4 Si12 O36'
_space_group_name_H-M_alt 'P 6/m c c'
_space_group_IT_number 192
_space_group_name_Hall '-P 6 2c'
_cell_length_a 9.3035
_cell_length_b 9.3035
_cell_length_c 9.2776
_cell_angle_alpha 90.00
_cell_angle_beta 90.00
_cell_angle_gamma 120.00
loop_
_atom_site_label
_atom_site_fract_x
_atom_site_fract_y
_atom_site_fract_z
Be1 0.0000 0.5000 0.2500
Al1 0.3333 0.6667 0.2500
Si1 0.1151 0.3873 0.0000
O1 0.0739 0.3095 0.5000
O2 0.1448 0.4984 0.1458
```

(2)
BeAlSiO5: simulated powder XRD pattern (λ = 1.5418 Å (Cu Kα)), based on a crystal structure in the Materials Project, relaxed with PBE.

Main lines, by angle (10 to 80 degrees two-theta):
7.279 Å, 2θ 12.2, rel. 100, hkl 0 2 0
3.864 Å, 2θ 23.0, rel. 42, hkl 1 2 0
3.222 Å, 2θ 27.7, rel. 47, hkl 1 2 -1
2.845 Å, 2θ 31.5, rel. 13, hkl 1 4 0
2.822 Å, 2θ 31.7, rel. 57, hkl 1 2 1
2.557 Å, 2θ 35.1, rel. 34, hkl 1 4 -1
2.485 Å, 2θ 36.1, rel. 24, hkl 0 5 1
2.385 Å, 2θ 37.7, rel. 15, hkl 0 0 2
2.266 Å, 2θ 39.8, rel. 14, hkl 1 0 -2
2.011 Å, 2θ 45.1, rel. 18, hkl 1 6 -1
1.881 Å, 2θ 48.4, rel. 13, hkl 2 4 -1
1.387 Å, 2θ 67.5, rel. 13, hkl 1 10 0

Cell and atoms:
```
data_BeAlSiO5
_chemical_formula_sum 'Be4 Al4 Si4 O20'
_space_group_name_H-M_alt 'P 1 21/c 1'
_space_group_IT_number 14
_space_group_name_Hall '-P 2ybc'
_cell_length_a 4.619
_cell_length_b 14.557
_cell_length_c 4.830
_cell_angle_alpha 90.00
_cell_angle_beta 99.14
_cell_angle_gamma 90.00
loop_
_atom_site_label
_atom_site_fract_x
_atom_site_fract_y
_atom_site_fract_z
Be1 0.045 0.200 0.321
Al1 0.458 0.555 0.249
Si1 0.038 0.602 0.680
O1 0.002 0.200 0.655
O2 0.164 0.627 0.386
O3 0.266 0.535 0.885
O4 0.282 0.050 0.902
O5 0.378 0.165 0.347
```